[1]
U3Sb: simulated X-ray powder pattern (CuKα), based on a crystal structure in Alexandria, relaxed with GGA-PBE.
Intensities are scaled so that the largest is 1000.

Cell: 4.456 4.456 8.791 Å, 90.00 90.00 90.00°
Positions (direct):
U: 0.000 0.000 0.000
U: 0.000 0.500 0.250
U: 0.000 0.500 0.750
U: 0.500 0.000 0.250
U: 0.500 0.000 0.750
U: 0.500 0.500 0.500
Sb: 0.000 0.000 0.500
Sb: 0.500 0.500 0.000

Most intense lines, 2θ = 10–80°, low angle first:
2θ 22.4, I = 51
2θ 35.0, I = 1000
2θ 40.5, I = 338
2θ 41.1, I = 163
2θ 46.7, I = 16
2θ 58.6, I = 117
2θ 59.0, I = 229
2θ 70.1, I = 281
2θ 70.9, I = 136
2θ 74.0, I = 122

---

[2]
K2LiTcI: simulated X-ray powder pattern (CuKα), based on a crystal structure in Alexandria, relaxed with GGA-PBE.
Intensities are scaled so that the largest is 1000.

Cell: 6.651 6.651 5.132 Å, 90.00 90.00 90.00°
Positions (direct):
K: 0.000 0.500 0.000
K: 0.500 0.000 0.000
Li: 0.000 0.000 0.500
Tc: 0.500 0.500 0.000
I: 0.500 0.500 0.500

Most intense lines, 2θ = 10–80°, low angle first:
2θ 13.3, I = 1000
2θ 18.9, I = 201
2θ 25.7, I = 112
2θ 26.8, I = 390
2θ 30.0, I = 286
2θ 37.6, I = 155
2θ 38.3, I = 146
2θ 44.6, I = 186
2θ 46.7, I = 204
2θ 52.8, I = 111

---

[3]
TaN: simulated X-ray powder pattern (CuKα), based on a crystal structure in Alexandria, relaxed with GGA-PBE.
Intensities are scaled so that the largest is 1000.

Cell: 5.231 5.231 2.927 Å, 90.00 90.00 120.00°
Positions (direct):
Ta: 0.000 0.000 0.000
Ta: 0.333 0.667 0.500
Ta: 0.667 0.333 0.500
N: 0.000 0.392 0.000
N: 0.392 0.000 0.000
N: 0.608 0.608 0.000

Most intense lines, 2θ = 10–80°, low angle first:
2θ 30.5, I = 31
2θ 34.3, I = 1000
2θ 36.5, I = 767
2θ 46.6, I = 123
2θ 51.0, I = 342
2θ 61.4, I = 217
2θ 62.9, I = 333
2θ 63.6, I = 68
2θ 72.2, I = 124
2θ 74.3, I = 222

---

[4]
Pr2Er7Tm3: simulated X-ray powder pattern (CuKα), based on a crystal structure in Alexandria, relaxed with GGA-PBE.
Intensities are scaled so that the largest is 1000.

Cell: 6.294 3.494 17.320 Å, 90.00 96.24 90.00°
Positions (direct):
Pr: 0.061 0.000 0.174
Pr: 0.939 0.000 0.826
Er: 0.000 0.500 0.500
Er: 0.228 0.000 0.666
Er: 0.257 0.000 0.999
Er: 0.277 0.500 0.338
Er: 0.723 0.500 0.662
Er: 0.743 0.000 0.001
Er: 0.772 0.000 0.334
Tm: 0.451 0.500 0.843
Tm: 0.500 0.000 0.500
Tm: 0.549 0.500 0.157

Most intense lines, 2θ = 10–80°, low angle first:
2θ 30.0, I = 590
2θ 31.0, I = 811
2θ 31.2, I = 932
2θ 31.6, I = 1000
2θ 34.1, I = 634
2θ 35.1, I = 774
2θ 38.4, I = 252
2θ 50.8, I = 362
2θ 53.4, I = 373
2θ 62.2, I = 261

---

[5]
Ca3SiO5: simulated X-ray powder pattern (CuKα), based on a crystal structure in Alexandria, relaxed with GGA-PBE.
Intensities are scaled so that the largest is 1000.

Cell: 9.514 9.514 9.514 Å, 43.77 43.77 43.77°
Positions (direct):
Ca: 0.015 0.492 0.492
Ca: 0.055 0.055 0.530
Ca: 0.055 0.530 0.055
Ca: 0.259 0.259 0.784
Ca: 0.259 0.784 0.259
Ca: 0.492 0.015 0.492
Ca: 0.492 0.492 0.015
Ca: 0.530 0.055 0.055
Ca: 0.784 0.259 0.259
Si: 0.553 0.553 0.553
Si: 0.764 0.764 0.764
Si: 0.986 0.986 0.986
O: 0.133 0.133 0.750
O: 0.133 0.750 0.133
O: 0.147 0.147 0.147
O: 0.272 0.272 0.272
O: 0.399 0.399 0.399
O: 0.404 0.404 0.782
O: 0.404 0.782 0.404
O: 0.491 0.866 0.866
O: 0.618 0.618 0.618
O: 0.750 0.133 0.133
O: 0.782 0.404 0.404
O: 0.827 0.827 0.827
O: 0.866 0.491 0.866
O: 0.866 0.866 0.491
O: 0.922 0.922 0.922

Most intense lines, 2θ = 10–80°, low angle first:
2θ 29.3, I = 883
2θ 31.2, I = 788
2θ 32.3, I = 831
2θ 34.0, I = 1000
2θ 38.2, I = 331
2θ 40.6, I = 790
2θ 51.5, I = 956
2θ 55.2, I = 487
2θ 58.5, I = 214
2θ 61.5, I = 487

---

[6]
CaThPdPt: simulated X-ray powder pattern (CuKα), based on a crystal structure in Alexandria, relaxed with GGA-PBE.
Intensities are scaled so that the largest is 1000.

Cell: 4.424 3.904 11.075 Å, 90.00 90.00 90.00°
Positions (direct):
Ca: 0.000 0.000 0.000
Ca: 0.000 0.500 0.500
Th: 0.500 0.000 0.728
Th: 0.500 0.500 0.228
Pd: 0.500 0.000 0.444
Pd: 0.500 0.500 0.944
Pt: 0.000 0.000 0.269
Pt: 0.000 0.500 0.769

Most intense lines, 2θ = 10–80°, low angle first:
2θ 16.0, I = 593
2θ 31.6, I = 1000
2θ 32.3, I = 283
2θ 38.4, I = 178
2θ 39.3, I = 806
2θ 40.8, I = 247
2θ 46.5, I = 170
2θ 53.0, I = 142
2θ 63.6, I = 134
2θ 73.3, I = 135

---

[7]
Y2Ge2O7: simulated X-ray powder pattern (CuKα), based on a crystal structure in Alexandria, relaxed with GGA-PBE.
Intensities are scaled so that the largest is 1000.

Cell: 6.888 6.888 12.533 Å, 90.00 90.00 90.00°
Positions (direct):
Y: 0.124 0.352 0.385
Y: 0.148 0.624 0.135
Y: 0.352 0.124 0.615
Y: 0.376 0.852 0.365
Y: 0.624 0.148 0.865
Y: 0.648 0.876 0.115
Y: 0.852 0.376 0.635
Y: 0.876 0.648 0.885
Ge: 0.099 0.153 0.870
Ge: 0.153 0.099 0.130
Ge: 0.347 0.599 0.620
Ge: 0.401 0.653 0.880
Ge: 0.599 0.347 0.380
Ge: 0.653 0.401 0.120
Ge: 0.847 0.901 0.630
Ge: 0.901 0.847 0.370
O: 0.031 0.078 0.626
O: 0.064 0.662 0.321
O: 0.078 0.031 0.374
O: 0.143 0.315 0.205
O: 0.162 0.436 0.571
O: 0.185 0.643 0.955
O: 0.197 0.197 0.000
O: 0.303 0.697 0.750
O: 0.315 0.143 0.795
O: 0.338 0.936 0.179
O: 0.357 0.815 0.545
O: 0.422 0.531 0.376
O: 0.436 0.162 0.429
O: 0.469 0.578 0.124
O: 0.531 0.422 0.624
O: 0.564 0.838 0.929
O: 0.578 0.469 0.876
O: 0.643 0.185 0.045
O: 0.662 0.064 0.679
O: 0.685 0.857 0.295
O: 0.697 0.303 0.250
O: 0.803 0.803 0.500
O: 0.815 0.357 0.455
O: 0.838 0.564 0.071
O: 0.857 0.685 0.705
O: 0.922 0.969 0.874
O: 0.936 0.338 0.821
O: 0.969 0.922 0.126

Most intense lines, 2θ = 10–80°, low angle first:
2θ 26.8, I = 1000
2θ 28.5, I = 925
2θ 29.0, I = 514
2θ 29.9, I = 509
2θ 32.4, I = 709
2θ 33.7, I = 386
2θ 41.1, I = 256
2θ 48.2, I = 480
2θ 53.0, I = 317
2θ 61.4, I = 274

---

[8]
CeAs2IrPd2: simulated X-ray powder pattern (CuKα), based on a crystal structure in Alexandria, relaxed with GGA-PBE.
Intensities are scaled so that the largest is 1000.

Cell: 4.239 6.863 7.687 Å, 90.00 90.00 90.00°
Positions (direct):
Ce: 0.000 0.083 0.000
Ce: 0.000 0.917 0.500
As: 0.000 0.340 0.341
As: 0.000 0.660 0.841
As: 0.500 0.160 0.705
As: 0.500 0.840 0.205
Ir: 0.500 0.187 0.275
Ir: 0.500 0.813 0.775
Pd: 0.000 0.371 0.657
Pd: 0.000 0.629 0.157
Pd: 0.500 0.423 0.950
Pd: 0.500 0.577 0.450

Most intense lines, 2θ = 10–80°, low angle first:
2θ 31.4, I = 291
2θ 34.1, I = 1000
2θ 35.1, I = 302
2θ 35.6, I = 830
2θ 37.5, I = 480
2θ 41.2, I = 232
2θ 42.7, I = 507
2θ 45.0, I = 319
2θ 58.0, I = 283
2θ 69.6, I = 211